KVIrO6: computed powder diffraction line list (copper Kα), based on the PBE+U geometry in Alexandria.
No peak broadening, texture or thermal motion is included.

Atomic structure:
Cell lengths 5.189, 5.189, 5.985 Å; angles 90.00, 90.00, 120.00 degrees
Positions (direct):
K  0.000  0.000  0.000
V  0.333  0.667  0.500
Ir  0.667  0.333  0.500
O  0.005  0.392  0.678
O  0.005  0.613  0.322
O  0.387  0.392  0.322
O  0.387  0.995  0.678
O  0.608  0.613  0.678
O  0.608  0.995  0.322

Peak list (10 most intense, 2θ = 10–80°, most intense first)
| hkl | two_theta | I (rel.) |
| --- | --- | --- |
| 1 0 1 | 24.78 | 100 |
| 0 0 1 | 14.80 | 79 |
| 1 0 0 | 19.76 | 45 |
| 2 -1 2 | 46.32 | 41 |
| 2 -1 1 | 37.79 | 28 |
| 1 1 0 | 34.57 | 27 |
| 3 -1 1 | 56.30 | 20 |
| 2 0 1 | 43.00 | 19 |
| 1 0 2 | 36.06 | 17 |
| 1 1 4 | 72.97 | 13 |